B2H6I: calculated X-ray diffraction stick pattern (CuKα), based on the GGA-PBE geometry in Alexandria.
Neutral-atom scattering factors, no anomalous dispersion.

Main lines, in order of rising 2θ (2θ from 10° to 90°):
d/Å  I (rel.)  index
4.922  1000  0 0 2
3.469  487  0 1 0
3.281  335  0 0 3
3.251  398  1 0 -1
3.089  332  1 0 1
2.513  375  1 -1 1

```
data_B2H6I
_space_group_name_H-M_alt 'P -1'
_space_group_IT_number 2
_space_group_name_Hall '-P 1'
_cell_length_a 3.3882
_cell_length_b 3.5132
_cell_length_c 9.9038
_cell_angle_alpha 94.05
_cell_angle_beta 94.21
_cell_angle_gamma 97.82
loop_
_atom_site_label
_atom_site_type_symbol
_atom_site_fract_x
_atom_site_fract_y
_atom_site_fract_z
B1 B 0.0203 0.0212 0.0884
H1 H 0.1949 0.1917 0.8514
H2 H 0.1952 0.8162 0.0007
H3 H 0.2628 0.2633 0.1492
I1 I 0.5000 0.0000 0.5000
```